KCrCdTe3: computed PXRD pattern (a wavelength of 1.5418 Å), based on a crystal structure in Alexandria, relaxed with GGA-PBE.
Neutral-atom scattering factors, no anomalous dispersion.

Peak list (10 most intense, 10 to 80 degrees two-theta, in order of rising 2θ)
11.2 deg, d = 7.882 Å, I = 100, (1 0 -1); 25.6 deg, d = 3.483 Å, I = 19, (2 0 1); 27.1 deg, d = 3.289 Å, I = 26, (1 1 -2); 29.0 deg, d = 3.079 Å, I = 39, (2 1 -1); 29.8 deg, d = 2.995 Å, I = 52, (2 1 0); 31.8 deg, d = 2.811 Å, I = 28, (1 0 3); 35.6 deg, d = 2.519 Å, I = 17, (0 0 4); 36.9 deg, d = 2.437 Å, I = 28, (3 1 -1); 40.9 deg, d = 2.206 Å, I = 47, (2 1 -4); 42.3 deg, d = 2.137 Å, I = 27, (0 2 0)

Crystal structure
```
KCrCdTe3
1.0
8.915 0.000 0.000
0.000 4.273 0.000
-3.590 0.000 10.078
K Cr Cd Te
2 2 2 6
Cartesian
1.093 1.068 2.573
4.231 3.205 7.504
-0.145 3.205 8.684
5.469 1.068 1.394
-1.510 1.068 6.163
6.834 3.205 3.914
-2.038 1.068 8.878
0.339 3.205 5.668
3.684 3.205 1.315
1.640 1.068 8.763
4.985 1.068 4.409
7.363 3.205 1.200
```